# KGdMo2O8
Computed XRD peak list, CuKα. Input: a crystal structure in the Materials Project, relaxed with PBE+U.
No peak broadening, texture or thermal motion is included.

Most intense lines, 2θ from 10° to 90°, low angle first:
2θ 22.37, I = 46, hkl 1 3 0; 2θ 28.09, I = 100, hkl 1 1 2; 2θ 29.04, I = 39, hkl 0 4 2; 2θ 29.62, I = 51, hkl 1 5 0; 2θ 34.54, I = 12, hkl 2 0 0; 2θ 45.73, I = 37, hkl 2 4 2; 2θ 51.05, I = 18, hkl 2 6 2; 2θ 52.77, I = 18, hkl 1 9 2; 2θ 53.97, I = 17, hkl 1 5 4; 2θ 58.02, I = 12, hkl 3 1 2

Structural model:
Cell: 5.193 18.520 8.226 Å, 90.00 90.00 90.00°
Space group Pbcn (No. 60)
One atom of each set of equivalent atoms:
1 K 0.000 0.230 0.250 x4
2 Gd 0.000 0.006 0.750 x4
3 Mo 0.023 0.399 0.517 x8
4 O 0.102 0.311 0.975 x8
5 O 0.228 0.400 0.340 x8
6 O 0.243 0.407 0.688 x8
7 O 0.248 0.465 0.004 x8

# LiV4O5F7
Computed XRD peak list, CuKα. Input: a crystal structure in the Materials Project, relaxed with PBE+U.
No peak broadening, texture or thermal motion is included.

Most intense lines, 2θ from 10° to 90°, low angle first:
2θ 23.55, I = 100, hkl 0 0 2; 2θ 24.50, I = 49, hkl 1 -1 0; 2θ 33.64, I = 15, hkl 0 2 0; 2θ 39.85, I = 9, hkl 2 1 1; 2θ 41.07, I = 8, hkl -2 1 1; 2θ 48.07, I = 11, hkl 0 0 4; 2θ 48.27, I = 11, hkl 2 2 0; 2θ 50.22, I = 9, hkl 2 -2 0; 2θ 55.31, I = 8, hkl 1 -3 0; 2θ 55.40, I = 11, hkl -2 2 2

Structural model:
Cell: 5.147 5.340 7.583 Å, 86.83 89.47 87.85°
Space group P1 (No. 1)
One atom of each set of equivalent atoms:
1 Li 0.000 0.000 0.000 x1
2 V 0.502 0.922 0.202 x1
3 V 0.519 0.890 0.700 x1
4 V 0.982 0.385 0.697 x1
5 V 0.991 0.433 0.224 x1
6 O 0.225 0.123 0.223 x1
7 O 0.714 0.631 0.740 x1
8 O 0.800 0.736 0.141 x1
9 O 0.805 0.125 0.751 x1
10 O 0.918 0.414 0.445 x1
11 F 0.096 0.402 0.945 x1
12 F 0.206 0.701 0.655 x1
13 F 0.310 0.203 0.647 x1
14 F 0.310 0.615 0.250 x1
15 F 0.377 0.911 0.941 x1
16 F 0.610 0.928 0.450 x1
17 F 0.719 0.223 0.136 x1

# Li2CrP4O12
Computed XRD peak list, CuKα. Input: a crystal structure in the Materials Project, relaxed with PBE+U.
No peak broadening, texture or thermal motion is included.

Most intense lines, 2θ from 10° to 90°, low angle first:
2θ 11.29, I = 100, hkl 1 1 0; 2θ 16.91, I = 41, hkl 1 1 1; 2θ 17.71, I = 15, hkl 0 2 1; 2θ 23.25, I = 17, hkl 1 1 -2; 2θ 23.72, I = 74, hkl 2 2 -1; 2θ 26.06, I = 13, hkl 1 3 1; 2θ 26.32, I = 25, hkl 1 1 2; 2θ 30.62, I = 17, hkl 1 3 -2; 2θ 31.12, I = 31, hkl 2 0 2; 2θ 36.28, I = 13, hkl 1 5 0

Structural model:
Cell: 10.100 12.779 8.215 Å, 90.00 100.91 90.00°
Space group Cc (No. 9)
One atom of each set of equivalent atoms:
1 Li 0.000 0.186 0.000 x4
2 Li 0.229 0.314 0.864 x4
3 Cr 0.331 0.145 0.190 x4
4 P 0.002 0.187 0.506 x4
5 P 0.186 0.326 0.357 x4
6 P 0.209 0.084 0.745 x4
7 P 0.466 0.077 0.615 x4
8 O 0.084 0.419 0.279 x4
9 O 0.093 0.088 0.579 x4
10 O 0.113 0.278 0.500 x4
11 O 0.177 0.161 0.872 x4
12 O 0.179 0.244 0.223 x4
13 O 0.229 0.029 0.289 x4
14 O 0.315 0.374 0.440 x4
15 O 0.339 0.131 0.679 x4
16 O 0.419 0.342 0.842 x4
17 O 0.426 0.278 0.137 x4
18 O 0.442 0.038 0.084 x4
19 O 0.498 0.146 0.479 x4

# VO2F
Computed XRD peak list, CuKα. Input: a crystal structure in the Materials Project, relaxed with PBE+U.
No peak broadening, texture or thermal motion is included.

Most intense lines, 2θ from 10° to 90°, low angle first:
2θ 23.86, I = 100, hkl 1 0 2; 2θ 24.00, I = 98, hkl 0 1 2; 2θ 25.18, I = 96, hkl 1 1 -2; 2θ 34.33, I = 13, hkl 0 1 -4; 2θ 34.40, I = 17, hkl 1 2 0; 2θ 40.56, I = 15, hkl -1 1 3; 2θ 48.85, I = 22, hkl 2 0 4; 2θ 49.13, I = 17, hkl 0 2 4; 2θ 51.70, I = 17, hkl 2 2 -4; 2θ 56.87, I = 22, hkl 1 2 -6

Structural model:
Cell: 5.051 5.227 12.493 Å, 89.74 87.69 63.17°
Space group P-1 (No. 2)
One atom of each set of equivalent atoms:
1 V 0.000 0.000 0.000 x1
2 V 0.000 0.000 0.500 x1
3 V 0.308 0.377 0.336 x2
4 V 0.385 0.266 0.832 x2
5 O 0.074 0.661 0.417 x2
6 O 0.134 0.134 0.392 x2
7 O 0.185 0.201 0.946 x2
8 O 0.269 0.870 0.114 x2
9 O 0.417 0.005 0.749 x2
10 O 0.470 0.486 0.721 x2
11 F 0.066 0.465 0.218 x2
12 F 0.261 0.678 0.916 x2
13 F 0.403 0.804 0.549 x2

# Li5Fe3Sb2O10
Computed XRD peak list, CuKα. Input: a crystal structure in the Materials Project, relaxed with PBE+U.
No peak broadening, texture or thermal motion is included.

Most intense lines, 2θ from 10° to 90°, low angle first:
2θ 17.63, I = 100, hkl 1 0 0; 2θ 21.58, I = 23, hkl 1 -1 0; 2θ 25.12, I = 18, hkl 1 0 -2; 2θ 28.69, I = 12, hkl 1 1 0; 2θ 33.39, I = 12, hkl -1 1 2; 2θ 33.83, I = 17, hkl 0 1 -3; 2θ 34.05, I = 12, hkl 0 2 -1; 2θ 40.75, I = 32, hkl -2 1 2; 2θ 41.06, I = 34, hkl 1 -1 3; 2θ 41.62, I = 29, hkl 1 2 -1

Structural model:
Cell: 5.356 5.365 8.240 Å, 108.09 102.60 100.70°
Space group P-1 (No. 2)
One atom of each set of equivalent atoms:
1 Li 0.000 0.000 0.000 x1
2 Li 0.496 0.832 0.102 x2
3 Li 0.497 0.384 0.295 x2
4 Fe 0.001 0.804 0.602 x2
5 Fe 0.500 0.000 0.500 x1
6 Sb 0.010 0.410 0.800 x2
7 O 0.219 0.407 0.046 x2
8 O 0.236 0.593 0.436 x2
9 O 0.237 0.211 0.657 x2
10 O 0.245 0.787 0.844 x2
11 O 0.246 0.976 0.259 x2